# 1
CeErNp2As4: calculated powder diffraction line list (Cu Kα (λ = 1.5418 Å)), based on the GGA-PBE geometry in Alexandria.
Intensities are scaled so that the largest is 1000.

Largest 10 diffraction maxima, by intensity, 5 to 70 degrees two-theta:
hkl 1 1 1, 30.61 deg, I 1000
hkl 0 2 0, 43.84 deg, I 753
hkl 2 0 0, 26.43 deg, I 341
hkl 0 0 4, 54.41 deg, I 267
hkl 3 1 1, 51.91 deg, I 173
hkl 2 2 2, 63.73 deg, I 125
hkl 0 0 1, 13.12 deg, I 53
hkl 2 0 -1, 25.29 deg, I 33
hkl 3 1 0, 45.97 deg, I 17
hkl 1 1 2, 40.09 deg, I 16

```
data_CeErNp2As4
_chemical_formula_sum 'Ce1 Er1 Np2 As4'
_space_group_name_H-M_alt 'P 1 2/m 1'
_space_group_IT_number 10
_space_group_name_Hall '-P 2y'
_cell_length_a 7.155
_cell_length_b 4.128
_cell_length_c 7.158
_cell_angle_alpha 90.00
_cell_angle_beta 109.45
_cell_angle_gamma 90.00
loop_
_atom_site_label
_atom_site_type_symbol
_atom_site_fract_x
_atom_site_fract_y
_atom_site_fract_z
Ce1 Ce 0.000 0.000 0.000
Er1 Er 0.500 0.500 0.000
Np1 Np 0.000 0.500 0.500
Np2 Np 0.500 0.000 0.500
As1 As 0.253 0.000 0.748
As2 As 0.256 0.500 0.254
```

# 2
Ce2ErNpAs4: calculated powder diffraction line list (Cu Kα (λ = 1.5418 Å)), based on the GGA-PBE geometry in Alexandria.
Intensities are scaled so that the largest is 1000.

Largest 10 diffraction maxima, by intensity, 5 to 70 degrees two-theta:
hkl 1 1 1, 30.43 deg, I 1000
hkl 0 2 0, 43.53 deg, I 502
hkl 3 1 -1, 43.64 deg, I 248
hkl 0 0 4, 54.02 deg, I 200
hkl 0 0 2, 26.25 deg, I 196
hkl 2 2 2, 63.32 deg, I 123
hkl 2 2 0, 51.56 deg, I 98
hkl 2 0 0, 26.34 deg, I 65
hkl 4 0 0, 54.22 deg, I 65
hkl 1 0 0, 13.07 deg, I 49

```
data_Ce2ErNpAs4
_chemical_formula_sum 'Ce2 Er1 Np1 As4'
_space_group_name_H-M_alt 'P 1 2/m 1'
_space_group_IT_number 10
_space_group_name_Hall '-P 2y'
_cell_length_a 7.178
_cell_length_b 4.158
_cell_length_c 7.208
_cell_angle_alpha 90.00
_cell_angle_beta 109.48
_cell_angle_gamma 90.00
loop_
_atom_site_label
_atom_site_type_symbol
_atom_site_fract_x
_atom_site_fract_y
_atom_site_fract_z
Ce1 Ce 0.000 0.000 0.000
Ce2 Ce 0.000 0.500 0.500
Er1 Er 0.500 0.000 0.500
Np1 Np 0.500 0.500 0.000
As1 As 0.257 0.500 0.253
As2 As 0.258 0.000 0.752
```

# 3
Ce2PmEr3As6: calculated powder diffraction line list (Cu Kα (λ = 1.5418 Å)), based on the GGA-PBE geometry in Alexandria.
Intensities are scaled so that the largest is 1000.

Largest 10 diffraction maxima, by intensity, 5 to 70 degrees two-theta:
hkl 6 0 0, 30.44 deg, I 1000
hkl 5 1 2, 43.56 deg, I 499
hkl 7 1 -2, 43.65 deg, I 247
hkl 4 0 -2, 26.28 deg, I 207
hkl 6 2 0, 54.05 deg, I 198
hkl 12 0 0, 63.34 deg, I 122
hkl 1 1 4, 51.59 deg, I 77
hkl 8 0 -4, 54.22 deg, I 65
hkl 5 1 -4, 51.69 deg, I 26
hkl 0 0 6, 69.73 deg, I 24

```
data_Ce2PmEr3As6
_chemical_formula_sum 'Ce4 Pm2 Er6 As12'
_space_group_name_H-M_alt 'C 1 2/m 1'
_space_group_IT_number 12
_space_group_name_Hall '-C 2y'
_cell_length_a 18.076
_cell_length_b 4.158
_cell_length_c 8.301
_cell_angle_alpha 90.00
_cell_angle_beta 103.08
_cell_angle_gamma 90.00
loop_
_atom_site_label
_atom_site_type_symbol
_atom_site_fract_x
_atom_site_fract_y
_atom_site_fract_z
Ce1 Ce 0.166 0.000 0.332
Pm1 Pm 0.000 0.500 0.000
Er1 Er 0.000 0.500 0.500
Er2 Er 0.166 0.000 0.834
As1 As 0.001 0.000 0.744
As2 As 0.165 0.500 0.587
As3 As 0.169 0.500 0.080
```

# 4
Ce2PrErAs4: calculated powder diffraction line list (Cu Kα (λ = 1.5418 Å)), based on the GGA-PBE geometry in Alexandria.
Intensities are scaled so that the largest is 1000.

Largest 9 diffraction maxima, by intensity, 5 to 70 degrees two-theta:
hkl 1 1 1, 30.04 deg, I 1000
hkl 0 2 0, 43.00 deg, I 747
hkl 4 0 0, 53.35 deg, I 263
hkl 0 0 2, 25.94 deg, I 181
hkl 2 2 2, 62.44 deg, I 122
hkl 1 1 3, 50.91 deg, I 90
hkl 2 0 4, 68.77 deg, I 28
hkl 4 0 2, 68.85 deg, I 9
hkl 0 0 1, 12.89 deg, I 6

```
data_Ce2PrErAs4
_chemical_formula_sum 'Ce2 Pr1 Er1 As4'
_space_group_name_H-M_alt 'P 1 2/m 1'
_space_group_IT_number 10
_space_group_name_Hall '-P 2y'
_cell_length_a 7.279
_cell_length_b 4.208
_cell_length_c 7.291
_cell_angle_alpha 90.00
_cell_angle_beta 109.48
_cell_angle_gamma 90.00
loop_
_atom_site_label
_atom_site_type_symbol
_atom_site_fract_x
_atom_site_fract_y
_atom_site_fract_z
Ce1 Ce 0.000 0.000 0.000
Ce2 Ce 0.000 0.500 0.500
Pr1 Pr 0.500 0.000 0.500
Er1 Er 0.500 0.500 0.000
As1 As 0.247 0.500 0.242
As2 As 0.252 0.000 0.758
```

# 5
Ce2SmErAs4: calculated powder diffraction line list (Cu Kα (λ = 1.5418 Å)), based on the GGA-PBE geometry in Alexandria.
Intensities are scaled so that the largest is 1000.

Largest 10 diffraction maxima, by intensity, 5 to 70 degrees two-theta:
hkl 1 1 1, 30.22 deg, I 1000
hkl 0 2 0, 43.27 deg, I 747
hkl 2 2 -2, 53.66 deg, I 198
hkl 0 0 2, 26.10 deg, I 188
hkl 2 2 2, 62.85 deg, I 122
hkl 1 1 3, 51.23 deg, I 93
hkl 4 0 0, 53.76 deg, I 66
hkl 2 0 4, 69.22 deg, I 29
hkl 4 0 2, 69.33 deg, I 9
hkl 1 0 0, 12.97 deg, I 6

```
data_Ce2SmErAs4
_chemical_formula_sum 'Ce2 Sm1 Er1 As4'
_space_group_name_H-M_alt 'P 1 2/m 1'
_space_group_IT_number 10
_space_group_name_Hall '-P 2y'
_cell_length_a 7.235
_cell_length_b 4.184
_cell_length_c 7.249
_cell_angle_alpha 90.00
_cell_angle_beta 109.50
_cell_angle_gamma 90.00
loop_
_atom_site_label
_atom_site_type_symbol
_atom_site_fract_x
_atom_site_fract_y
_atom_site_fract_z
Ce1 Ce 0.000 0.000 0.000
Ce2 Ce 0.000 0.500 0.500
Sm1 Sm 0.500 0.000 0.500
Er1 Er 0.500 0.500 0.000
As1 As 0.251 0.500 0.246
As2 As 0.254 0.000 0.755
```

# 6
Tb2Ce3ErAs6: calculated powder diffraction line list (Cu Kα (λ = 1.5418 Å)), based on the GGA-PBE geometry in Alexandria.
Intensities are scaled so that the largest is 1000.

Largest 10 diffraction maxima, by intensity, 5 to 70 degrees two-theta:
hkl 1 3 1, 30.33 deg, I 1000
hkl 2 0 2, 43.43 deg, I 746
hkl 4 0 0, 53.86 deg, I 198
hkl 2 0 0, 26.18 deg, I 145
hkl 2 6 2, 63.09 deg, I 122
hkl 1 3 3, 51.42 deg, I 95
hkl 0 0 4, 53.97 deg, I 65
hkl 0 0 2, 26.23 deg, I 48
hkl 2 0 4, 69.57 deg, I 19
hkl 5 3 -1, 69.47 deg, I 19

```
data_Tb2Ce3ErAs6
_chemical_formula_sum 'Tb4 Ce6 Er2 As12'
_space_group_name_H-M_alt 'C 1 2/m 1'
_space_group_IT_number 12
_space_group_name_Hall '-C 2y'
_cell_length_a 7.223
_cell_length_b 12.512
_cell_length_c 7.210
_cell_angle_alpha 90.00
_cell_angle_beta 109.51
_cell_angle_gamma 90.00
loop_
_atom_site_label
_atom_site_type_symbol
_atom_site_fract_x
_atom_site_fract_y
_atom_site_fract_z
Tb1 Tb 0.000 0.166 0.000
Ce1 Ce 0.000 0.000 0.500
Ce2 Ce 0.000 0.333 0.500
Er1 Er 0.000 0.500 0.000
As1 As 0.247 0.334 0.246
As2 As 0.249 0.500 0.754
```

# 7
Ce3Y2ErAs6: calculated powder diffraction line list (Cu Kα (λ = 1.5418 Å)), based on the GGA-PBE geometry in Alexandria.
Intensities are scaled so that the largest is 1000.

Largest 10 diffraction maxima, by intensity, 5 to 70 degrees two-theta:
hkl 1 3 1, 30.36 deg, I 1000
hkl 0 6 0, 43.47 deg, I 741
hkl 4 0 0, 53.90 deg, I 196
hkl 2 6 2, 63.16 deg, I 120
hkl 2 0 0, 26.19 deg, I 89
hkl 0 0 4, 54.05 deg, I 64
hkl 3 3 1, 51.45 deg, I 42
hkl 0 0 2, 26.26 deg, I 29
hkl 1 3 3, 51.54 deg, I 14
hkl 1 1 0, 14.82 deg, I 13

```
data_Ce3Y2ErAs6
_chemical_formula_sum 'Ce6 Y4 Er2 As12'
_space_group_name_H-M_alt 'C 1 2/m 1'
_space_group_IT_number 12
_space_group_name_Hall '-C 2y'
_cell_length_a 7.219
_cell_length_b 12.503
_cell_length_c 7.201
_cell_angle_alpha 90.00
_cell_angle_beta 109.53
_cell_angle_gamma 90.00
loop_
_atom_site_label
_atom_site_type_symbol
_atom_site_fract_x
_atom_site_fract_y
_atom_site_fract_z
Ce1 Ce 0.000 0.000 0.000
Ce2 Ce 0.000 0.333 0.000
Y1 Y 0.000 0.166 0.500
Er1 Er 0.000 0.500 0.500
As1 As 0.247 0.334 0.745
As2 As 0.250 0.000 0.746
```

# 8
Ce2YErAs4: calculated powder diffraction line list (Cu Kα (λ = 1.5418 Å)), based on the GGA-PBE geometry in Alexandria.
Intensities are scaled so that the largest is 1000.

Largest 10 diffraction maxima, by intensity, 5 to 70 degrees two-theta:
hkl 1 1 1, 30.39 deg, I 1000
hkl 0 2 0, 43.51 deg, I 742
hkl 0 0 4, 53.96 deg, I 196
hkl 2 0 0, 26.24 deg, I 136
hkl 2 2 2, 63.23 deg, I 121
hkl 4 0 0, 54.11 deg, I 64
hkl 2 2 0, 51.50 deg, I 49
hkl 0 0 1, 13.02 deg, I 19
hkl 3 1 1, 51.59 deg, I 17
hkl 2 0 4, 69.61 deg, I 16

```
data_Ce2YErAs4
_chemical_formula_sum 'Ce2 Y1 Er1 As4'
_space_group_name_H-M_alt 'P 1 2/m 1'
_space_group_IT_number 10
_space_group_name_Hall '-P 2y'
_cell_length_a 7.193
_cell_length_b 4.163
_cell_length_c 7.213
_cell_angle_alpha 90.00
_cell_angle_beta 109.52
_cell_angle_gamma 90.00
loop_
_atom_site_label
_atom_site_type_symbol
_atom_site_fract_x
_atom_site_fract_y
_atom_site_fract_z
Ce1 Ce 0.000 0.000 0.000
Ce2 Ce 0.000 0.500 0.500
Y1 Y 0.500 0.000 0.500
Er1 Er 0.500 0.500 0.000
As1 As 0.255 0.500 0.250
As2 As 0.256 0.000 0.753
```